(1)
For Tl6SnSb2, the PBE geometry in Alexandria gives the computed PXRD pattern in this record (CuKα).
Kinematic intensities with the Lorentz-polarization factor, no thermal factor.

Largest 10 diffraction maxima, low angle first, 2θ = 10–90°:
2theta, I_rel
28.31, 16
32.48, 99
33.10, 100
47.06, 36
57.56, 16
58.73, 37
59.12, 19
69.46, 12
77.77, 14
78.79, 16

Structural model:
abc: 11.780 11.780 11.780
angles: 26.56 26.56 26.56
Positions (direct):
Tl: 0.094 0.094 0.094
Tl: 0.197 0.197 0.197
Tl: 0.303 0.303 0.303
Tl: 0.697 0.697 0.697
Tl: 0.803 0.803 0.803
Tl: 0.906 0.906 0.906
Sn: 0.500 0.500 0.500
Sb: 0.399 0.399 0.399
Sb: 0.601 0.601 0.601

=====

(2)
For TlSn4Sb2, the PBE geometry in Alexandria gives the computed PXRD pattern in this record (CuKα).
Kinematic intensities with the Lorentz-polarization factor, no thermal factor.

Largest 10 diffraction maxima, low angle first, 2θ = 10–90°:
2theta, I_rel
31.05, 100
32.20, 95
33.04, 80
33.18, 80
33.62, 84
34.31, 81
44.89, 39
45.78, 34
57.86, 34
58.11, 34

Structural model:
abc: 5.253 5.369 8.495
angles: 103.86 95.74 116.87
Positions (direct):
Tl: 0.000 0.000 0.000
Sn: 0.155 0.292 0.450
Sn: 0.438 0.853 0.285
Sn: 0.562 0.147 0.715
Sn: 0.845 0.708 0.550
Sb: 0.270 0.562 0.827
Sb: 0.730 0.438 0.173